The following is a simulated powder XRD pattern of Li2CrP2O7. It was derived from a DFT-relaxed cell (GGA+U, Alexandria), using copper Kα.
No peak broadening, texture or thermal motion is included.

The 6 most intense peaks (15 to 90 degrees two-theta), by angle:
- (1 1 -2), 2θ = 21.77°, I 100
- (2 0 0), 2θ = 23.73°, I 64
- (1 1 -4), 2θ = 30.05°, I 42
- (2 0 2), 2θ = 32.72°, I 26
- (0 2 0), 2θ = 34.65°, I 32
- (2 0 -6), 2θ = 37.40°, I 32

Structural model:
```
data_Li2CrP2O7
_chemical_formula_sum 'Li8 Cr4 P8 O28'
_cell_length_a 8.455
_cell_length_b 5.178
_cell_length_c 14.541
_cell_angle_alpha 90.00
_cell_angle_beta 117.54
_cell_angle_gamma 90.00
_symmetry_space_group_name_H-M 'P 1 21/c 1'
_symmetry_Int_Tables_number 14
_symmetry_space_group_name_Hall '-P 2ybc'
loop_
_atom_site_label
_atom_site_type_symbol
_atom_site_fract_x
_atom_site_fract_y
_atom_site_fract_z
Li1 Li 0.008 0.184 0.074
Li2 Li 0.430 0.162 0.302
Cr1 Cr 0.272 0.211 0.507
P1 P 0.188 0.696 0.154
P2 P 0.301 0.676 0.378
O1 O 0.008 0.696 0.569
O2 O 0.156 0.701 0.255
O3 O 0.207 0.702 0.935
O4 O 0.214 0.089 0.632
O5 O 0.334 0.116 0.898
O6 O 0.347 0.634 0.673
O7 O 0.464 0.667 0.891
```